Entry 1:
Rb7Cd: simulated powder diffractogram (Cu Kα, 1.54184 Å), based on DFT lattice parameters and positions (GGA-PBE).
Lines closer than 0.1° are merged.

Atomic structure:
Cell: 7.6420 7.6420 37.0089 Å, 90.00 90.00 120.00°
Space group R-3m (No. 166, hexagonal axes)
Unique sites:
Rb 0.0000 0.0000 0.0000 [3 per cell]
Rb 0.0000 0.0000 0.1380 [6 per cell]
Rb 0.0000 0.0000 0.2624 [6 per cell]
Rb 0.0000 0.0000 0.3957 [6 per cell]
Cd 0.0000 0.0000 0.5000 [3 per cell]

Main lines, by angle (10° ≤ 2θ ≤ 90°):
2θ = 21.54°, d 4.125, I 21
2θ = 23.28°, d 3.821, I 100
2θ = 23.46°, d 3.792, I 61
2θ = 31.95°, d 2.801, I 20
2θ = 33.29°, d 2.691, I 25
2θ = 40.91°, d 2.206, I 22
2θ = 41.02°, d 2.200, I 27
2θ = 43.67°, d 2.073, I 14
2θ = 47.60°, d 1.911, I 14
2θ = 53.72°, d 1.706, I 12

Entry 2:
MgTePt2: simulated powder diffractogram (Cu Kα, 1.54184 Å), based on DFT lattice parameters and positions (GGA-PBE).
Lines closer than 0.1° are merged.

Atomic structure:
Cell: 5.910 6.719 3.675 Å, 90.00 90.17 90.00°
Space group C2/m (No. 12)
Unique sites:
Mg 0.000 0.000 0.000 [2 per cell]
Te 0.000 0.500 0.000 [2 per cell]
Pt 0.250 0.250 0.500 [4 per cell]

Main lines, by angle (10° ≤ 2θ ≤ 90°):
2θ = 24.22°, d 3.675, I 26
2θ = 26.53°, d 3.359, I 21
2θ = 36.23°, d 2.479, I 100
2θ = 39.06°, d 2.306, I 41
2θ = 39.18°, d 2.299, I 40
2θ = 40.66°, d 2.219, I 73
2θ = 49.62°, d 1.837, I 21
2θ = 65.94°, d 1.417, I 18
2θ = 66.10°, d 1.413, I 17
2θ = 69.24°, d 1.357, I 30

Entry 3:
LiC12: simulated powder diffractogram (Cu Kα, 1.54184 Å), based on DFT lattice parameters and positions (GGA-PBE).
Lines closer than 0.1° are merged.

Atomic structure:
Cell: 4.2998 4.2998 7.5598 Å, 90.00 90.00 120.00°
Space group P6/mmm (No. 191)
Unique sites:
Li 0.0000 0.0000 0.0000 [1 per cell]
C 0.0000 0.3332 0.2521 [12 per cell]

Main lines, by angle (10° ≤ 2θ ≤ 90°):
2θ = 23.54°, d 3.780, I 100
2θ = 26.69°, d 3.341, I 1
2θ = 42.03°, d 2.150, I 9
2θ = 48.15°, d 1.890, I 9
2θ = 48.73°, d 1.869, I 14
2θ = 65.79°, d 1.419, I 3
2θ = 75.45°, d 1.260, I 1
2θ = 76.79°, d 1.241, I 5
2θ = 81.64°, d 1.179, I 7

Entry 4:
DyMgTl3: simulated powder diffractogram (Cu Kα, 1.54184 Å), based on DFT lattice parameters and positions (GGA-PBE).
Lines closer than 0.1° are merged.

Atomic structure:
Cell: 4.665 7.352 7.946 Å, 90.00 90.00 90.00°
Space group Pmmn (No. 59, origin choice 2)
Unique sites:
Dy 0.250 0.250 0.210 [2 per cell]
Mg 0.250 0.750 0.445 [2 per cell]
Tl 0.250 0.037 0.708 [4 per cell]
Tl 0.250 0.750 0.069 [2 per cell]

Main lines, by angle (10° ≤ 2θ ≤ 90°):
2θ = 22.38°, d 3.973, I 21
2θ = 26.72°, d 3.336, I 20
2θ = 29.53°, d 3.025, I 33
2θ = 32.00°, d 2.797, I 42
2θ = 33.01°, d 2.714, I 100
2θ = 33.20°, d 2.698, I 14
2θ = 38.60°, d 2.333, I 29
2θ = 39.11°, d 2.303, I 13
2θ = 66.32°, d 1.409, I 14
2θ = 71.32°, d 1.322, I 11